Diffraction record for LiFeF4. The powder XRD pattern is theoretical, not measured: it uses DFT lattice parameters and positions (PBE+U) and CuKα.

The 10 most intense peaks (2θ from 10° to 90°), by angle:
2theta, I/Imax
15.59, 48
20.28, 61
22.45, 31
24.53, 24
26.15, 100
32.28, 22
39.58, 30
40.14, 27
51.83, 18
53.80, 23

Structure:
Cell lengths 5.7076, 4.8555, 10.1769 Å; angles 90.00, 95.04, 90.00 degrees
Fractional positions:
1 Li 0.0777 0.0398 0.3717
2 Li 0.0777 0.4602 0.8717
3 Li 0.9223 0.5398 0.1283
4 Li 0.9223 0.9602 0.6283
5 Fe 0.3637 0.0326 0.1255
6 Fe 0.3637 0.4674 0.6255
7 Fe 0.6363 0.5326 0.3745
8 Fe 0.6363 0.9674 0.8745
9 F 0.1088 0.6462 0.7000
10 F 0.1088 0.8538 0.2000
11 F 0.1678 0.1795 0.5505
12 F 0.1678 0.3205 0.0505
13 F 0.3518 0.6781 0.4559
14 F 0.3518 0.8219 0.9559
15 F 0.4177 0.2378 0.2939
16 F 0.4177 0.2622 0.7939
17 F 0.5823 0.7378 0.2061
18 F 0.5823 0.7622 0.7061
19 F 0.6482 0.1781 0.0441
20 F 0.6482 0.3219 0.5441
21 F 0.8322 0.6795 0.9495
22 F 0.8322 0.8205 0.4495
23 F 0.8912 0.1462 0.8000
24 F 0.8912 0.3538 0.3000



Diffraction record for Bi17W3O33. The powder XRD pattern is theoretical, not measured: it uses DFT lattice parameters and positions (PBE+U) and CuKα.

The 10 most intense peaks (2θ from 10° to 90°), by angle:
2theta, I/Imax
26.76, 100
27.44, 93
27.68, 94
28.75, 87
31.58, 53
32.14, 51
32.42, 49
44.53, 29
44.86, 29
52.96, 28

Structure:
Cell lengths 10.1916, 10.4134, 10.4182 Å; angles 108.48, 104.07, 113.18 degrees
Fractional positions:
1 Bi 0.0000 0.0000 0.0000
2 Bi 0.0090 0.3383 0.9299
3 Bi 0.0631 0.7136 0.8173
4 Bi 0.1974 0.4183 0.6230
5 Bi 0.2580 0.7956 0.5101
6 Bi 0.3067 0.1196 0.3985
7 Bi 0.3490 0.4725 0.3133
8 Bi 0.4448 0.1676 0.1146
9 Bi 0.5042 0.5343 0.0362
10 Bi 0.5366 0.8612 0.9116
11 Bi 0.5926 0.2204 0.8114
12 Bi 0.6109 0.5588 0.7014
13 Bi 0.6755 0.9015 0.6185
14 Bi 0.7299 0.2631 0.5253
15 Bi 0.7898 0.5977 0.4188
16 Bi 0.8238 0.9448 0.2846
17 Bi 0.9163 0.6404 0.1133
18 W 0.1102 0.0487 0.6931
19 W 0.4151 0.8212 0.2143
20 W 0.9161 0.2978 0.2242
21 O 0.0179 0.8224 0.6314
22 O 0.0631 0.2738 0.1256
23 O 0.0758 0.5121 0.3464
24 O 0.1860 0.2758 0.7354
25 O 0.2476 0.1334 0.1710
26 O 0.2530 0.1000 0.8827
27 O 0.2561 0.0492 0.6064
28 O 0.2932 0.8691 0.3363
29 O 0.3269 0.8697 0.0730
30 O 0.3371 0.5959 0.1571
31 O 0.3500 0.3851 0.5121
32 O 0.4141 0.7114 0.4766
33 O 0.4392 0.5941 0.8020
34 O 0.5020 0.9623 0.7148
35 O 0.5108 0.4145 0.2005
36 O 0.5139 0.1940 0.3469
37 O 0.5505 0.2584 0.6127
38 O 0.5522 0.7854 0.0995
39 O 0.6110 0.9594 0.3865
40 O 0.6293 0.6364 0.5036
41 O 0.6847 0.5262 0.9346
42 O 0.6897 0.8254 0.8048
43 O 0.7336 0.6894 0.2371
44 O 0.7598 0.3247 0.2723
45 O 0.7721 0.0650 0.0929
46 O 0.7734 0.2072 0.7382
47 O 0.8245 0.5225 0.6157
48 O 0.8442 0.3370 0.0402
49 O 0.9336 0.9831 0.5157
50 O 0.9667 0.8818 0.1605
51 O 0.9707 0.0744 0.8021
52 O 0.9908 0.2397 0.3717
53 O 0.9958 0.5730 0.9402



Diffraction record for Li2Mn5P4O16. The powder XRD pattern is theoretical, not measured: it uses DFT lattice parameters and positions (PBE+U) and CuKα.

The 10 most intense peaks (2θ from 10° to 90°), by angle:
2theta, I/Imax
18.39, 100
19.27, 74
22.88, 41
23.71, 47
27.09, 52
27.40, 54
28.21, 45
33.23, 42
33.75, 59
37.06, 45

Structure:
Cell lengths 5.3519, 8.2757, 8.3755 Å; angles 111.37, 90.22, 102.14 degrees
Fractional positions:
1 Li 0.1083 0.0624 0.2965
2 Li 0.8917 0.9376 0.7035
3 Mn 0.1446 0.4093 0.6681
4 Mn 0.3994 0.7439 0.2156
5 Mn 0.5000 0.0000 0.0000
6 Mn 0.6006 0.2561 0.7844
7 Mn 0.8554 0.5907 0.3319
8 P 0.1191 0.2967 0.0281
9 P 0.3685 0.7933 0.5752
10 P 0.6315 0.2067 0.4248
11 P 0.8809 0.7033 0.9719
12 O 0.1484 0.4849 0.1698
13 O 0.1694 0.7931 0.0383
14 O 0.1808 0.8157 0.4429
15 O 0.2356 0.1752 0.0946
16 O 0.2376 0.6363 0.6210
17 O 0.2564 0.3204 0.8695
18 O 0.3749 0.2298 0.5085
19 O 0.4209 0.9701 0.7363
20 O 0.5791 0.0299 0.2637
21 O 0.6251 0.7702 0.4915
22 O 0.7436 0.6796 0.1305
23 O 0.7624 0.3637 0.3790
24 O 0.7644 0.8248 0.9054
25 O 0.8192 0.1843 0.5571
26 O 0.8306 0.2069 0.9617
27 O 0.8516 0.5151 0.8302



Diffraction record for Li9Co7O16. The powder XRD pattern is theoretical, not measured: it uses DFT lattice parameters and positions (PBE+U) and CuKα.

The 10 most intense peaks (2θ from 10° to 90°), by angle:
2theta, I/Imax
18.32, 100
35.01, 17
35.59, 15
37.07, 11
37.38, 8
42.06, 32
43.11, 29
45.23, 24
61.68, 8
61.93, 8

Structure:
Cell lengths 3.0084, 8.0206, 11.9919 Å; angles 88.96, 88.65, 89.87 degrees
Fractional positions:
1 Li 0.0000 0.0000 0.0000
2 Li 0.0000 0.0000 0.5000
3 Li 0.0000 0.5000 0.0000
4 Li 0.0009 0.4980 0.2509
5 Li 0.4977 0.2557 0.8772
6 Li 0.5004 0.2503 0.3760
7 Li 0.4996 0.7497 0.6240
8 Li 0.5023 0.7443 0.1228
9 Li 0.9991 0.5020 0.7491
10 Co 0.0000 0.5000 0.5000
11 Co 0.0060 0.0029 0.2490
12 Co 0.4977 0.7416 0.8802
13 Co 0.4991 0.2492 0.6254
14 Co 0.5009 0.7508 0.3746
15 Co 0.5023 0.2584 0.1198
16 Co 0.9940 0.9971 0.7510
17 O 0.0054 0.2589 0.5045
18 O 0.0096 0.7597 0.2530
19 O 0.0357 0.7507 0.9899
20 O 0.0406 0.2401 0.2437
21 O 0.4878 0.9806 0.8684
22 O 0.4909 0.4907 0.6196
23 O 0.4971 0.0098 0.6294
24 O 0.4981 0.5249 0.8723
25 O 0.5019 0.4751 0.1277
26 O 0.5029 0.9902 0.3706
27 O 0.5091 0.5093 0.3804
28 O 0.5122 0.0194 0.1316
29 O 0.9594 0.7599 0.7563
30 O 0.9643 0.2493 0.0101
31 O 0.9904 0.2403 0.7470
32 O 0.9946 0.7411 0.4955



Diffraction record for NdFeO3. The powder XRD pattern is theoretical, not measured: it uses DFT lattice parameters and positions (PBE+U) and CuKα.

The 10 most intense peaks (2θ from 10° to 90°), by angle:
2theta, I/Imax
14.58, 48
26.28, 100
27.30, 58
29.41, 80
34.50, 29
35.81, 41
39.85, 88
41.71, 29
50.30, 29
59.84, 21

Structure:
Cell lengths 5.1256, 12.1483, 4.5233 Å; angles 90.00, 90.00, 90.00 degrees
Fractional positions:
1 Nd 0.1083 0.2500 0.0340
2 Nd 0.3917 0.7500 0.5340
3 Nd 0.6083 0.2500 0.4660
4 Nd 0.8917 0.7500 0.9660
5 Fe 0.0000 0.0000 0.0000
6 Fe 0.0000 0.5000 0.0000
7 Fe 0.5000 0.0000 0.5000
8 Fe 0.5000 0.5000 0.5000
9 O 0.0332 0.2500 0.5491
10 O 0.2394 0.5614 0.7343
11 O 0.2394 0.9386 0.7343
12 O 0.2606 0.0614 0.2343
13 O 0.2606 0.4386 0.2343
14 O 0.4668 0.7500 0.0491
15 O 0.5332 0.2500 0.9509
16 O 0.7394 0.5614 0.7657
17 O 0.7394 0.9386 0.7657
18 O 0.7606 0.0614 0.2657
19 O 0.7606 0.4386 0.2657
20 O 0.9668 0.7500 0.4509



Diffraction record for LiNiP3O9. The powder XRD pattern is theoretical, not measured: it uses DFT lattice parameters and positions (PBE+U) and CuKα.

The 10 most intense peaks (2θ from 10° to 90°), by angle:
2theta, I/Imax
13.60, 100
14.77, 48
16.27, 56
18.96, 18
22.19, 33
23.94, 37
26.76, 23
32.67, 32
32.88, 18
36.03, 18

Structure:
Cell lengths 5.0844, 11.9953, 13.0177 Å; angles 90.00, 90.00, 90.00 degrees
Fractional positions:
1 Li 0.0171 0.9996 0.2500
2 Li 0.0171 0.5004 0.7500
3 Li 0.9829 0.0004 0.7500
4 Li 0.9829 0.4996 0.2500
5 Ni 0.0000 0.0000 0.0000
6 Ni 0.0000 0.0000 0.5000
7 Ni 0.0000 0.5000 0.0000
8 Ni 0.0000 0.5000 0.5000
9 P 0.2421 0.2500 0.0000
10 P 0.2421 0.2500 0.5000
11 P 0.4987 0.5844 0.1352
12 P 0.4987 0.5844 0.3648
13 P 0.4987 0.9156 0.6352
14 P 0.4987 0.9156 0.8648
15 P 0.5013 0.0844 0.1352
16 P 0.5013 0.0844 0.3648
17 P 0.5013 0.4156 0.6352
18 P 0.5013 0.4156 0.8648
19 P 0.7579 0.7500 0.0000
20 P 0.7579 0.7500 0.5000
21 O 0.0958 0.1563 0.5500
22 O 0.0958 0.1563 0.9500
23 O 0.0958 0.3437 0.0500
24 O 0.0958 0.3437 0.4500
25 O 0.2095 0.5560 0.1336
26 O 0.2095 0.5560 0.3664
27 O 0.2095 0.9440 0.6336
28 O 0.2095 0.9440 0.8664
29 O 0.3058 0.5037 0.6037
30 O 0.3058 0.5037 0.8963
31 O 0.3058 0.9963 0.1037
32 O 0.3058 0.9963 0.3963
33 O 0.4196 0.1215 0.2500
34 O 0.4196 0.3785 0.7500
35 O 0.4562 0.2009 0.0804
36 O 0.4562 0.2009 0.4196
37 O 0.4562 0.2991 0.5804
38 O 0.4562 0.2991 0.9196
39 O 0.5438 0.7009 0.0804
40 O 0.5438 0.7009 0.4196
41 O 0.5438 0.7991 0.5804
42 O 0.5438 0.7991 0.9196
43 O 0.5804 0.6215 0.2500
44 O 0.5804 0.8785 0.7500
45 O 0.6942 0.0037 0.6037
46 O 0.6942 0.0037 0.8963
47 O 0.6942 0.4963 0.1037
48 O 0.6942 0.4963 0.3963
49 O 0.7905 0.0560 0.1336
50 O 0.7905 0.0560 0.3664
51 O 0.7905 0.4440 0.6336
52 O 0.7905 0.4440 0.8664
53 O 0.9042 0.6563 0.5500
54 O 0.9042 0.6563 0.9500
55 O 0.9042 0.8437 0.0500
56 O 0.9042 0.8437 0.4500



Diffraction record for LiVSiO4. The powder XRD pattern is theoretical, not measured: it uses DFT lattice parameters and positions (PBE+U) and CuKα.

The 10 most intense peaks (2θ from 10° to 90°), by angle:
2theta, I/Imax
21.09, 96
22.53, 86
27.22, 100
27.62, 39
31.46, 55
32.98, 34
34.81, 19
45.90, 30
57.95, 27
65.52, 22

Structure:
Cell lengths 8.2150, 5.4320, 8.4975 Å; angles 90.00, 106.08, 90.00 degrees
Fractional positions:
1 Li 0.0000 0.1543 0.0000
2 Li 0.0000 0.8457 0.5000
3 Li 0.5331 0.3407 0.7102
4 Li 0.5331 0.6593 0.2102
5 V 0.3986 0.1660 0.3149
6 V 0.3986 0.8340 0.8149
7 V 0.8937 0.3385 0.6278
8 V 0.8937 0.6615 0.1278
9 Si 0.2773 0.3368 0.9371
10 Si 0.2773 0.6632 0.4371
11 Si 0.7708 0.1638 0.2528
12 Si 0.7708 0.8362 0.7528
13 O 0.0848 0.3101 0.8139
14 O 0.0848 0.6899 0.3139
15 O 0.2447 0.2176 0.1044
16 O 0.2447 0.7824 0.6044
17 O 0.3544 0.3835 0.4773
18 O 0.3544 0.6165 0.9773
19 O 0.4118 0.1804 0.8629
20 O 0.4118 0.8196 0.3629
21 O 0.6009 0.3051 0.2726
22 O 0.6009 0.6949 0.7726
23 O 0.7311 0.1276 0.6978
24 O 0.7311 0.8724 0.1978
25 O 0.8448 0.3119 0.1173
26 O 0.8448 0.6881 0.6173
27 O 0.9144 0.1741 0.4335
28 O 0.9144 0.8259 0.9335



Diffraction record for LiMo3O8. The powder XRD pattern is theoretical, not measured: it uses DFT lattice parameters and positions (PBE+U) and CuKα.

The 10 most intense peaks (2θ from 10° to 90°), by angle:
2theta, I/Imax
17.63, 31
18.08, 100
20.52, 21
34.05, 45
35.70, 13
41.73, 51
55.58, 17
59.86, 17
61.12, 14
63.08, 18

Structure:
Cell lengths 6.0669, 6.0669, 6.0669 Å; angles 61.24, 61.24, 61.24 degrees
Fractional positions:
1 Li 0.0000 0.0000 0.0000
2 Mo 0.1204 0.6158 0.6158
3 Mo 0.6158 0.1204 0.6158
4 Mo 0.6158 0.6158 0.1204
5 O 0.3646 0.3646 0.8199
6 O 0.3646 0.8199 0.3646
7 O 0.3746 0.3746 0.3746
8 O 0.4039 0.8747 0.8747
9 O 0.8199 0.3646 0.3646
10 O 0.8605 0.8605 0.8605
11 O 0.8747 0.4039 0.8747
12 O 0.8747 0.8747 0.4039



Repeat the seventh record exactly.
Diffraction record for LiVSiO4. The powder XRD pattern is theoretical, not measured: it uses DFT lattice parameters and positions (PBE+U) and CuKα.

The 10 most intense peaks (2θ from 10° to 90°), by angle:
2theta, I/Imax
21.09, 96
22.53, 86
27.22, 100
27.62, 39
31.46, 55
32.98, 34
34.81, 19
45.90, 30
57.95, 27
65.52, 22

Structure:
Cell lengths 8.2150, 5.4320, 8.4975 Å; angles 90.00, 106.08, 90.00 degrees
Fractional positions:
1 Li 0.0000 0.1543 0.0000
2 Li 0.0000 0.8457 0.5000
3 Li 0.5331 0.3407 0.7102
4 Li 0.5331 0.6593 0.2102
5 V 0.3986 0.1660 0.3149
6 V 0.3986 0.8340 0.8149
7 V 0.8937 0.3385 0.6278
8 V 0.8937 0.6615 0.1278
9 Si 0.2773 0.3368 0.9371
10 Si 0.2773 0.6632 0.4371
11 Si 0.7708 0.1638 0.2528
12 Si 0.7708 0.8362 0.7528
13 O 0.0848 0.3101 0.8139
14 O 0.0848 0.6899 0.3139
15 O 0.2447 0.2176 0.1044
16 O 0.2447 0.7824 0.6044
17 O 0.3544 0.3835 0.4773
18 O 0.3544 0.6165 0.9773
19 O 0.4118 0.1804 0.8629
20 O 0.4118 0.8196 0.3629
21 O 0.6009 0.3051 0.2726
22 O 0.6009 0.6949 0.7726
23 O 0.7311 0.1276 0.6978
24 O 0.7311 0.8724 0.1978
25 O 0.8448 0.3119 0.1173
26 O 0.8448 0.6881 0.6173
27 O 0.9144 0.1741 0.4335
28 O 0.9144 0.8259 0.9335